Starting from a structure optimized by DFT (GGA-PBE), the XRD peak list of CeFeSb2 was calculated for CuKα.

Unit cell a=4.339 b=4.339 c=9.646 alpha=90.00 beta=90.00 gamma=90.00
Fractional coordinates of all 8 atoms:
Ce: 0.250 0.250 0.234
Ce: 0.750 0.750 0.766
Fe: 0.250 0.750 0.000
Fe: 0.750 0.250 0.000
Sb: 0.250 0.250 0.858
Sb: 0.250 0.750 0.500
Sb: 0.750 0.250 0.500
Sb: 0.750 0.750 0.142

Most intense lines, 2θ from 10° to 90°, low angle first:
two_theta	I/Imax	h k l
27.71	23	0 0 3
30.58	21	1 1 1
34.67	100	1 1 2
41.63	38	2 0 0
50.76	13	2 0 3
71.50	21	3 1 2


Starting from a structure optimized by DFT (GGA-PBE), the XRD peak list of SrMg6W was calculated for CuKα.

Unit cell a=6.490 b=6.490 c=4.416 alpha=90.00 beta=90.00 gamma=90.00
Fractional coordinates of all 8 atoms:
Sr: 0.000 0.000 0.000
Mg: 0.000 0.500 0.000
Mg: 0.283 0.283 0.500
Mg: 0.283 0.717 0.500
Mg: 0.500 0.000 0.000
Mg: 0.717 0.283 0.500
Mg: 0.717 0.717 0.500
W: 0.500 0.500 0.000

Most intense lines, 2θ from 10° to 90°, low angle first:
two_theta	I/Imax	h k l
13.64	33	1 0 0
19.34	58	1 1 0
27.49	26	2 0 0
28.04	44	1 1 1
34.29	100	2 0 1
39.27	33	2 2 0